This entry pairs a crystal structure of Pu2Au3 with its calculated powder diffractogram. Radiation: CuKα. Structure: a DFT-relaxed cell (PBE, Alexandria).

Top 12 peaks for 10° ≤ 2θ ≤ 80°, low angle first:
2θ/deg	intensity	h k l
34.34	100.0	1 3 1
35.08	50.0	1 7 0
36.25	91.9	0 10 1
36.90	50.4	0 0 2
49.75	11.8	1 13 0
51.82	33.8	1 7 2
56.30	15.2	2 0 0
64.83	22.4	0 20 0
64.92	12.1	1 17 1
66.06	16.5	0 10 3
68.82	29.4	2 10 1
69.23	16.6	2 0 2

Structural model:
Unit cell a=3.268 b=28.777 c=4.872 alpha=90.00 beta=90.00 gamma=90.00
Space group Cmcm (No. 63)
One atom of each set of equivalent atoms:
Pu 0.000 0.073 0.250 x4
Pu 0.000 0.213 0.750 x4
Au 0.000 0.324 0.750 x4
Au 0.000 0.379 0.250 x4
Au 0.000 0.476 0.250 x4

=====

This entry pairs a crystal structure of Pu4Au with its calculated powder diffractogram. Radiation: CuKα. Structure: a DFT-relaxed cell (PBE, Alexandria).

Top 12 peaks for 10° ≤ 2θ ≤ 80°, low angle first:
2θ/deg	intensity	h k l
15.74	16.1	1 0 0
22.34	14.6	1 1 0
27.44	81.5	1 1 1
31.79	100.0	2 0 0
35.66	9.1	2 1 0
39.20	7.1	2 1 1
45.58	75.8	2 2 0
54.03	39.5	3 1 1
56.64	27.0	2 2 2
66.43	12.7	4 0 0
73.31	16.3	3 3 1
75.54	35.4	4 2 0

Structural model:
Unit cell a=5.629 b=5.629 c=5.629 alpha=90.00 beta=90.00 gamma=90.00
Space group Pm-3m (No. 221)
One atom of each set of equivalent atoms:
Pu 0.000 0.000 0.000 x1
Pu 0.000 0.500 0.500 x3
Au 0.500 0.500 0.500 x1

=====

This entry pairs a crystal structure of PuAu6 with its calculated powder diffractogram. Radiation: CuKα. Structure: a DFT-relaxed cell (PBE, Alexandria).

Top 12 peaks for 10° ≤ 2θ ≤ 80°, low angle first:
2θ/deg	intensity	h k l
31.85	31.9	0 2 0
33.52	79.8	1 0 4
34.40	100.0	3 1 1
34.92	66.8	2 1 3
35.77	28.9	0 2 2
37.57	35.9	2 2 0
38.13	28.2	3 0 3
38.45	43.5	2 2 1
40.24	47.1	4 0 1
41.11	35.3	2 1 4
41.44	56.8	1 2 3
46.91	31.9	1 2 4

Structural model:
Unit cell a=9.149 b=5.619 c=11.180 alpha=90.00 beta=90.00 gamma=90.00
Space group Pnma (No. 62)
One atom of each set of equivalent atoms:
Pu 0.239 0.250 0.066 x4
Au 0.056 0.007 0.306 x8
Au 0.065 0.750 0.079 x4
Au 0.114 0.250 0.522 x4
Au 0.157 0.750 0.844 x4
Au 0.189 0.250 0.774 x4

=====

This entry pairs a crystal structure of RbPu2AuS5 with its calculated powder diffractogram. Radiation: CuKα. Structure: a DFT-relaxed cell (PBE, Alexandria).

Top 12 peaks for 10° ≤ 2θ ≤ 80°, low angle first:
2θ/deg	intensity	h k l
12.10	35.2	0 0 2
16.44	39.6	1 1 0
24.33	55.1	0 0 4
26.36	100.0	2 0 2
26.84	60.5	2 1 1
32.02	88.3	2 1 3
33.23	22.8	2 2 0
39.34	46.2	3 1 2
40.62	53.7	2 1 5
41.61	23.1	2 2 4
44.07	24.6	2 0 6
52.92	21.8	4 1 3

Structural model:
Unit cell a=7.627 b=7.627 c=14.634 alpha=90.00 beta=90.00 gamma=90.00
Space group I4/mcm (No. 140)
One atom of each set of equivalent atoms:
Rb 0.000 0.000 0.250 x4
Pu 0.166 0.334 0.000 x8
Au 0.000 0.500 0.250 x4
S 0.000 0.000 0.000 x4
S 0.143 0.357 0.384 x16

=====

This entry pairs a crystal structure of Pu4Rh3Au with its calculated powder diffractogram. Radiation: CuKα. Structure: a DFT-relaxed cell (PBE, Alexandria).

Top 12 peaks for 10° ≤ 2θ ≤ 80°, low angle first:
2θ/deg	intensity	h k l
25.12	5.0	0 2 0
25.87	9.7	2 0 1
36.37	100.0	2 2 1
36.91	48.6	4 0 0
45.17	4.6	4 2 0
51.56	9.0	0 4 0
53.19	17.3	4 0 2
60.07	2.2	6 0 1
65.08	18.1	4 4 0
66.15	35.8	6 2 1
77.24	11.2	4 4 2
78.56	5.6	8 0 0

Structural model:
Unit cell a=9.741 b=7.090 c=4.871 alpha=90.00 beta=90.00 gamma=90.00
Space group Pmma (No. 51)
One atom of each set of equivalent atoms:
Pu 0.000 0.239 0.000 x4
Pu 0.250 0.239 0.500 x4
Rh 0.000 0.000 0.500 x2
Rh 0.250 0.000 0.000 x2
Rh 0.250 0.500 0.001 x2
Au 0.000 0.500 0.500 x2

=====

This entry pairs a crystal structure of Pu6Ru5Au with its calculated powder diffractogram. Radiation: CuKα. Structure: a DFT-relaxed cell (PBE, Alexandria).

Top 12 peaks for 10° ≤ 2θ ≤ 80°, low angle first:
2θ/deg	intensity	h k l
22.43	9.9	0 0 2
28.79	17.0	1 1 0
35.32	44.2	2 -1 0
36.78	100.0	1 1 -2
36.86	32.0	-1 2 2
39.18	12.2	1 0 -3
45.79	14.0	0 0 4
46.39	15.4	0 3 0
59.12	13.4	2 -1 4
59.53	8.7	2 2 0
64.37	14.2	3 -3 2
74.70	8.8	4 -2 0

Structural model:
Unit cell a=5.083 b=6.391 c=7.927 alpha=90.11 beta=90.01 gamma=113.26
Space group P-1 (No. 2)
One atom of each set of equivalent atoms:
Pu 0.001 0.001 0.282 x2
Pu 0.320 0.639 0.217 x2
Pu 0.324 0.648 0.777 x2
Ru 0.129 0.259 0.996 x2
Ru 0.181 0.362 0.493 x2
Ru 0.500 0.000 0.000 x1
Au 0.500 0.000 0.500 x1

=====

This entry pairs a crystal structure of Pu4RuAu with its calculated powder diffractogram. Radiation: CuKα. Structure: a DFT-relaxed cell (PBE, Alexandria).

Top 12 peaks for 10° ≤ 2θ ≤ 80°, low angle first:
2θ/deg	intensity	h k l
22.47	21.7	1 0 1
24.93	16.7	0 0 2
26.52	31.2	1 1 0
36.71	100.0	1 1 2
37.85	50.8	2 0 0
44.47	7.3	2 1 1
45.86	13.8	2 0 2
51.14	8.7	0 0 4
54.60	21.0	2 2 0
65.36	17.5	2 0 4
67.62	34.8	3 1 2
78.08	11.7	2 2 4

Structural model:
Unit cell a=4.753 b=4.753 c=7.144 alpha=90.00 beta=90.00 gamma=90.00
Space group P4/mmm (No. 123)
One atom of each set of equivalent atoms:
Pu 0.000 0.500 0.231 x4
Ru 0.000 0.000 0.000 x1
Au 0.500 0.500 0.500 x1

=====

This entry pairs a crystal structure of Pu3Sb2Au with its calculated powder diffractogram. Radiation: CuKα. Structure: a DFT-relaxed cell (PBE, Alexandria).

Top 12 peaks for 10° ≤ 2θ ≤ 80°, low angle first:
2θ/deg	intensity	h k l
21.99	23.0	3 0 1
25.21	32.7	2 1 1
28.98	39.5	2 1 2
31.49	100.0	0 1 3
31.95	21.8	4 0 2
32.87	75.5	3 1 2
33.57	33.6	1 0 4
34.81	65.4	4 1 1
37.82	35.3	3 1 3
39.60	61.9	0 2 0
51.78	21.5	7 0 2
63.50	22.4	1 1 7

Structural model:
Unit cell a=13.056 b=4.551 c=10.909 alpha=90.00 beta=90.00 gamma=90.00
Space group Pnma (No. 62)
One atom of each set of equivalent atoms:
Pu 0.040 0.250 0.096 x4
Pu 0.134 0.750 0.559 x4
Pu 0.239 0.250 0.792 x4
Sb 0.012 0.250 0.706 x4
Sb 0.192 0.750 0.004 x4
Au 0.117 0.250 0.356 x4

=====

This entry pairs a crystal structure of Pu2SiSbAu6 with its calculated powder diffractogram. Radiation: CuKα. Structure: a DFT-relaxed cell (PBE, Alexandria).

Top 12 peaks for 10° ≤ 2θ ≤ 80°, low angle first:
2θ/deg	intensity	h k l
27.76	21.1	1 2 1
28.17	91.0	0 2 2
29.98	17.7	0 1 3
32.11	29.5	1 0 3
32.24	32.9	1 2 2
36.39	72.0	2 0 2
37.74	100.0	2 2 0
38.68	57.0	1 2 3
42.74	53.2	0 4 0
54.42	21.4	1 4 3
57.34	39.2	2 4 2
60.33	17.3	3 2 3

Structural model:
Unit cell a=5.768 b=8.465 c=9.552 alpha=90.00 beta=90.00 gamma=90.00
Space group Pmmn (No. 59, origin choice 2)
One atom of each set of equivalent atoms:
Pu 0.250 0.006 0.244 x4
Si 0.250 0.250 0.747 x2
Sb 0.250 0.750 0.806 x2
Au 0.003 0.250 0.954 x4
Au 0.008 0.750 0.479 x4
Au 0.250 0.508 0.618 x4

=====

This entry pairs a crystal structure of Pu3Si4Au2 with its calculated powder diffractogram. Radiation: CuKα. Structure: a DFT-relaxed cell (PBE, Alexandria).

Top 12 peaks for 10° ≤ 2θ ≤ 80°, low angle first:
2θ/deg	intensity	h k l
24.40	59.9	2 0 -2
33.03	42.6	4 0 -1
33.05	100.0	3 1 0
33.20	79.3	1 1 2
33.34	47.2	0 0 3
42.82	35.8	0 2 0
42.99	68.0	3 1 -3
45.06	32.2	4 0 2
55.16	29.4	6 0 -3
55.33	22.9	0 2 3
63.77	22.0	7 1 -1
72.33	26.1	6 2 -3

Structural model:
Unit cell a=10.898 b=4.223 c=8.287 alpha=90.00 beta=103.36 gamma=90.00
Space group C2/m (No. 12)
One atom of each set of equivalent atoms:
Pu 0.000 0.000 0.000 x2
Pu 0.160 0.500 0.677 x4
Si 0.053 0.000 0.392 x4
Si 0.225 0.500 0.053 x4
Au 0.120 0.500 0.285 x4

=====

This entry pairs a crystal structure of PuSi2Au with its calculated powder diffractogram. Radiation: CuKα. Structure: a DFT-relaxed cell (PBE, Alexandria).

Top 12 peaks for 10° ≤ 2θ ≤ 80°, low angle first:
2θ/deg	intensity	h k l
10.53	13.0	1 0 1
22.86	31.9	0 1 1
23.80	13.7	1 1 1
27.68	17.3	4 0 1
28.23	20.3	2 0 3
31.95	14.4	3 0 3
33.66	46.0	1 1 3
34.13	100.0	4 1 0
35.63	46.9	2 1 3
43.36	32.4	0 2 0
47.71	15.6	6 0 3
66.43	27.1	2 1 7

Structural model:
Unit cell a=13.518 b=4.174 c=10.728 alpha=90.00 beta=90.00 gamma=90.00
Space group Pnma (No. 62)
One atom of each set of equivalent atoms:
Pu 0.048 0.250 0.240 x4
Pu 0.193 0.750 0.966 x4
Si 0.026 0.250 0.959 x4
Si 0.116 0.250 0.777 x4
Si 0.132 0.750 0.453 x4
Si 0.205 0.750 0.259 x4
Au 0.061 0.250 0.556 x4
Au 0.217 0.750 0.666 x4

=====

This entry pairs a crystal structure of Sm2PuAu4 with its calculated powder diffractogram. Radiation: CuKα. Structure: a DFT-relaxed cell (PBE, Alexandria).

Top 12 peaks for 10° ≤ 2θ ≤ 80°, low angle first:
2θ/deg	intensity	h k l
17.40	17.1	1 0 1
25.18	4.4	2 0 0
30.78	8.8	2 1 1
35.23	100.0	2 0 2
35.91	47.5	2 2 0
46.92	2.8	2 1 3
49.63	9.6	0 0 4
51.70	17.0	4 0 0
62.77	19.1	2 2 4
64.11	36.0	4 2 2
74.49	11.7	4 0 4
76.13	5.5	4 4 0

Structural model:
Unit cell a=7.073 b=7.073 c=7.347 alpha=90.00 beta=90.00 gamma=90.00
Space group I4/mmm (No. 139)
One atom of each set of equivalent atoms:
Sm 0.000 0.500 0.000 x4
Pu 0.000 0.000 0.000 x2
Au 0.250 0.250 0.250 x8